Entry 1:
Computed powder X-ray diffraction pattern
Compound: PmTm3Ir
Radiation: CuKα
Structure: the PBE geometry in Alexandria
Peak positions follow from Bragg's law for the DFT cell and can differ from measured ones.

Largest 10 diffraction maxima, in order of falling intensity, 2θ from 10° to 80°:
2θ = 31.03°, rel. 100.0
2θ = 40.30°, rel. 41.4
2θ = 48.33°, rel. 31.7
2θ = 52.72°, rel. 22.8
2θ = 23.12°, rel. 16.8
2θ = 58.56°, rel. 15.7
2θ = 29.02°, rel. 13.6
2θ = 18.61°, rel. 12.1
2θ = 57.37°, rel. 11.1
2θ = 64.69°, rel. 9.9

Structure:
abc: 7.539 6.516 6.154
angles: 90.00 90.00 90.00
Sites, in units of the cell vectors:
Pm1 0.000 0.147 0.000
Pm2 0.500 0.853 0.500
Tm1 0.000 0.847 0.491
Tm2 0.249 0.317 0.498
Tm3 0.251 0.683 0.998
Tm4 0.500 0.153 0.991
Tm5 0.749 0.683 0.998
Tm6 0.751 0.317 0.498
Ir1 0.000 0.508 0.744
Ir2 0.500 0.492 0.244

---

Entry 2:
Computed powder X-ray diffraction pattern
Compound: Pm2YIr2
Radiation: CuKα
Structure: the PBE geometry in Alexandria
Peak positions follow from Bragg's law for the DFT cell and can differ from measured ones.

Largest 10 diffraction maxima, in order of falling intensity, 2θ from 10° to 80°:
2θ = 36.59°, rel. 100.0
2θ = 65.93°, rel. 23.9
2θ = 20.00°, rel. 13.5
2θ = 65.78°, rel. 11.8
2θ = 52.79°, rel. 11.8
2θ = 24.90°, rel. 11.2
2θ = 77.72°, rel. 7.3
2θ = 52.56°, rel. 5.8
2θ = 44.82°, rel. 4.8
2θ = 42.08°, rel. 4.1

Structure:
abc: 4.902 4.908 10.447
angles: 90.00 90.00 90.00
Sites, in units of the cell vectors:
Pm1 0.250 0.250 0.002
Pm2 0.250 0.250 0.668
Pm3 0.750 0.750 0.332
Pm4 0.750 0.750 0.998
Y1 0.250 0.250 0.339
Y2 0.750 0.750 0.661
Ir1 0.250 0.750 0.494
Ir2 0.250 0.750 0.838
Ir3 0.750 0.250 0.162
Ir4 0.750 0.250 0.506

---

Entry 3:
Computed powder X-ray diffraction pattern
Compound: Pm2Zn5Ir5
Radiation: CuKα
Structure: the PBE geometry in Alexandria
Peak positions follow from Bragg's law for the DFT cell and can differ from measured ones.

Largest 10 diffraction maxima, in order of falling intensity, 2θ from 10° to 80°:
2θ = 37.78°, rel. 100.0
2θ = 40.25°, rel. 88.3
2θ = 39.11°, rel. 78.4
2θ = 44.00°, rel. 75.2
2θ = 44.31°, rel. 60.8
2θ = 29.28°, rel. 60.3
2θ = 59.61°, rel. 54.0
2θ = 28.78°, rel. 53.1
2θ = 39.33°, rel. 47.1
2θ = 70.28°, rel. 33.1

Structure:
abc: 4.088 5.575 9.164
angles: 90.00 90.00 90.00
Sites, in units of the cell vectors:
Pm1 0.000 0.000 0.000
Pm2 0.000 0.500 0.500
Zn1 0.000 0.000 0.330
Zn2 0.000 0.000 0.670
Zn3 0.000 0.500 0.170
Zn4 0.000 0.500 0.830
Zn5 0.500 0.000 0.500
Ir1 0.500 0.245 0.250
Ir2 0.500 0.245 0.750
Ir3 0.500 0.500 0.000
Ir4 0.500 0.755 0.250
Ir5 0.500 0.755 0.750

---

Entry 4:
Computed powder X-ray diffraction pattern
Compound: PmZn11Ir
Radiation: CuKα
Structure: the PBE geometry in Alexandria
Peak positions follow from Bragg's law for the DFT cell and can differ from measured ones.

Largest 10 diffraction maxima, in order of falling intensity, 2θ from 10° to 80°:
2θ = 40.14°, rel. 100.0
2θ = 40.43°, rel. 44.3
2θ = 39.95°, rel. 41.4
2θ = 45.09°, rel. 39.1
2θ = 34.76°, rel. 37.2
2θ = 40.19°, rel. 30.1
2θ = 19.75°, rel. 26.4
2θ = 45.45°, rel. 20.2
2θ = 44.90°, rel. 20.1
2θ = 72.69°, rel. 19.0

Structure:
abc: 6.897 6.897 6.784
angles: 97.94 97.94 135.98
Sites, in units of the cell vectors:
Pm1 0.000 0.000 0.000
Zn1 0.000 0.500 0.000
Zn2 0.016 0.666 0.644
Zn3 0.281 0.501 0.782
Zn4 0.334 0.984 0.356
Zn5 0.499 0.719 0.218
Zn6 0.500 0.000 0.000
Zn7 0.500 0.500 0.500
Zn8 0.501 0.281 0.782
Zn9 0.666 0.016 0.644
Zn10 0.719 0.499 0.218
Zn11 0.984 0.334 0.356
Ir1 0.000 0.000 0.500